(1)
This entry pairs a crystal structure of CeH2Rh4 with its theoretical powder diffraction line list. Radiation: λ = 1.5418 Å (Cu Kα). Structure: a crystal structure in Alexandria, relaxed with PBE.
Intensities are scaled so that the largest is 100.

Structure:
```
data_CeH2Rh4
_symmetry_space_group_name_H-M 'P 1'
_symmetry_Int_Tables_number 1
_cell_length_a 4.981
_cell_length_b 5.424
_cell_length_c 7.829
_cell_angle_alpha 101.88
_cell_angle_beta 96.30
_cell_angle_gamma 116.88
loop_
_symmetry_equiv_pos_as_xyz
'x,y,z'
loop_
_atom_site_label
_atom_site_type_symbol
_atom_site_fract_x
_atom_site_fract_y
_atom_site_fract_z
Ce1 Ce 0.000 0.000 0.000
Ce2 Ce 0.366 0.006 0.454
H1 H 0.053 0.588 0.806
H2 H 0.237 0.070 0.745
H3 H 0.424 0.495 0.201
H4 H 0.879 0.412 0.050
Rh1 Rh 0.005 0.221 0.675
Rh2 Rh 0.232 0.425 0.390
Rh3 Rh 0.269 0.626 0.032
Rh4 Rh 0.476 0.775 0.739
Rh5 Rh 0.614 0.364 0.855
Rh6 Rh 0.658 0.310 0.215
Rh7 Rh 0.765 0.873 0.322
Rh8 Rh 0.851 0.616 0.578
```

Most intense lines, 15 to 90 degrees two-theta, low angle first:
2θ/deg	I/Imax
35.27	40
36.30	49
37.33	82
38.11	70
39.45	100
40.13	73
40.69	43
41.03	67
42.30	44
66.64	30

---

(2)
This entry pairs a crystal structure of CeH12Rh7 with its theoretical powder diffraction line list. Radiation: λ = 1.5418 Å (Cu Kα). Structure: a crystal structure in Alexandria, relaxed with PBE.
Intensities are scaled so that the largest is 100.

Structure:
```
data_CeH12Rh7
_symmetry_space_group_name_H-M 'P 1'
_symmetry_Int_Tables_number 1
_cell_length_a 5.565
_cell_length_b 5.565
_cell_length_c 5.565
_cell_angle_alpha 87.03
_cell_angle_beta 87.03
_cell_angle_gamma 87.03
loop_
_symmetry_equiv_pos_as_xyz
'x,y,z'
loop_
_atom_site_label
_atom_site_type_symbol
_atom_site_fract_x
_atom_site_fract_y
_atom_site_fract_z
Ce1 Ce 0.000 0.000 0.000
H1 H 0.083 0.849 0.412
H2 H 0.151 0.588 0.917
H3 H 0.186 0.434 0.560
H4 H 0.412 0.083 0.849
H5 H 0.434 0.560 0.186
H6 H 0.440 0.814 0.566
H7 H 0.560 0.186 0.434
H8 H 0.566 0.440 0.814
H9 H 0.588 0.917 0.151
H10 H 0.814 0.566 0.440
H11 H 0.849 0.412 0.083
H12 H 0.917 0.151 0.588
Rh1 Rh 0.088 0.528 0.237
Rh2 Rh 0.237 0.088 0.528
Rh3 Rh 0.472 0.763 0.912
Rh4 Rh 0.500 0.500 0.500
Rh5 Rh 0.528 0.237 0.088
Rh6 Rh 0.763 0.912 0.472
Rh7 Rh 0.912 0.472 0.763
```

Most intense lines, 15 to 90 degrees two-theta, low angle first:
2θ/deg	I/Imax
26.41	27
32.25	31
35.44	25
36.92	83
38.05	38
40.12	100
51.27	16
59.89	15
64.32	29
78.58	16

---

(3)
This entry pairs a crystal structure of CeTlH8Rh2 with its theoretical powder diffraction line list. Radiation: λ = 1.5418 Å (Cu Kα). Structure: a crystal structure in Alexandria, relaxed with PBE.
Intensities are scaled so that the largest is 100.

Structure:
```
data_CeTlH8Rh2
_symmetry_space_group_name_H-M 'P 1'
_symmetry_Int_Tables_number 1
_cell_length_a 6.361
_cell_length_b 6.361
_cell_length_c 6.361
_cell_angle_alpha 47.51
_cell_angle_beta 47.51
_cell_angle_gamma 47.51
loop_
_symmetry_equiv_pos_as_xyz
'x,y,z'
loop_
_atom_site_label
_atom_site_type_symbol
_atom_site_fract_x
_atom_site_fract_y
_atom_site_fract_z
Ce1 Ce 0.000 0.000 0.000
Tl1 Tl 0.500 0.500 0.500
H1 H 0.026 0.026 0.602
H2 H 0.026 0.602 0.026
H3 H 0.304 0.304 0.304
H4 H 0.398 0.974 0.974
H5 H 0.602 0.026 0.026
H6 H 0.696 0.696 0.696
H7 H 0.974 0.398 0.974
H8 H 0.974 0.974 0.398
Rh1 Rh 0.204 0.204 0.204
Rh2 Rh 0.796 0.796 0.796
```

Most intense lines, 15 to 90 degrees two-theta, low angle first:
2θ/deg	I/Imax
15.74	40
22.63	24
29.19	94
31.78	20
35.02	100
38.60	24
46.21	27
48.01	38
58.45	22
59.27	26

---

(4)
This entry pairs a crystal structure of Ce4ZnH3Rh12 with its theoretical powder diffraction line list. Radiation: λ = 1.5418 Å (Cu Kα). Structure: a crystal structure in Alexandria, relaxed with PBE.
Intensities are scaled so that the largest is 100.

Structure:
```
data_Ce4ZnH3Rh12
_symmetry_space_group_name_H-M 'P 1'
_symmetry_Int_Tables_number 1
_cell_length_a 7.293
_cell_length_b 7.293
_cell_length_c 7.293
_cell_angle_alpha 109.47
_cell_angle_beta 109.47
_cell_angle_gamma 109.47
loop_
_symmetry_equiv_pos_as_xyz
'x,y,z'
loop_
_atom_site_label
_atom_site_type_symbol
_atom_site_fract_x
_atom_site_fract_y
_atom_site_fract_z
Ce1 Ce 0.000 0.000 0.500
Ce2 Ce 0.000 0.500 0.000
Ce3 Ce 0.500 0.000 0.000
Ce4 Ce 0.500 0.500 0.500
Zn1 Zn 0.000 0.000 0.000
H1 H 0.000 0.500 0.500
H2 H 0.500 0.000 0.500
H3 H 0.500 0.500 0.000
Rh1 Rh 0.000 0.284 0.284
Rh2 Rh 0.000 0.716 0.716
Rh3 Rh 0.250 0.500 0.750
Rh4 Rh 0.250 0.750 0.500
Rh5 Rh 0.284 0.000 0.284
Rh6 Rh 0.284 0.284 0.000
Rh7 Rh 0.500 0.250 0.750
Rh8 Rh 0.500 0.750 0.250
Rh9 Rh 0.716 0.000 0.716
Rh10 Rh 0.716 0.716 0.000
Rh11 Rh 0.750 0.250 0.500
Rh12 Rh 0.750 0.500 0.250
```

Most intense lines, 15 to 90 degrees two-theta, low angle first:
2θ/deg	I/Imax
30.01	6
36.98	100
40.06	5
42.96	57
45.71	3
50.86	5
62.38	34
74.78	32
78.73	11
84.55	4

---

(5)
This entry pairs a crystal structure of Ce6HRu2 with its theoretical powder diffraction line list. Radiation: λ = 1.5418 Å (Cu Kα). Structure: a crystal structure in Alexandria, relaxed with PBE.
Intensities are scaled so that the largest is 100.

Structure:
```
data_Ce6HRu2
_symmetry_space_group_name_H-M 'P 1'
_symmetry_Int_Tables_number 1
_cell_length_a 6.165
_cell_length_b 6.957
_cell_length_c 11.428
_cell_angle_alpha 90.00
_cell_angle_beta 122.61
_cell_angle_gamma 90.00
loop_
_symmetry_equiv_pos_as_xyz
'x,y,z'
loop_
_atom_site_label
_atom_site_type_symbol
_atom_site_fract_x
_atom_site_fract_y
_atom_site_fract_z
Ce1 Ce 0.077 0.148 0.447
Ce2 Ce 0.077 0.352 0.947
Ce3 Ce 0.311 0.649 0.446
Ce4 Ce 0.311 0.851 0.946
Ce5 Ce 0.375 0.043 0.250
Ce6 Ce 0.375 0.457 0.750
Ce7 Ce 0.625 0.543 0.250
Ce8 Ce 0.625 0.957 0.750
Ce9 Ce 0.689 0.149 0.054
Ce10 Ce 0.689 0.351 0.554
Ce11 Ce 0.923 0.648 0.053
Ce12 Ce 0.923 0.852 0.553
H1 H 0.500 0.000 0.500
H2 H 0.500 0.500 0.000
Ru1 Ru 0.179 0.146 0.749
Ru2 Ru 0.179 0.354 0.249
Ru3 Ru 0.821 0.646 0.751
Ru4 Ru 0.821 0.854 0.251
```

Most intense lines, 15 to 90 degrees two-theta, low angle first:
2θ/deg	I/Imax
26.76	48
31.43	53
31.75	61
33.12	100
34.03	86
35.00	93
36.96	52
38.15	39
41.61	52
58.01	42

---

(6)
This entry pairs a crystal structure of Ce3H8Ru2 with its theoretical powder diffraction line list. Radiation: λ = 1.5418 Å (Cu Kα). Structure: a crystal structure in Alexandria, relaxed with PBE.
Intensities are scaled so that the largest is 100.

Structure:
```
data_Ce3H8Ru2
_symmetry_space_group_name_H-M 'P 1'
_symmetry_Int_Tables_number 1
_cell_length_a 7.313
_cell_length_b 7.313
_cell_length_c 7.313
_cell_angle_alpha 39.69
_cell_angle_beta 39.69
_cell_angle_gamma 39.69
loop_
_symmetry_equiv_pos_as_xyz
'x,y,z'
loop_
_atom_site_label
_atom_site_type_symbol
_atom_site_fract_x
_atom_site_fract_y
_atom_site_fract_z
Ce1 Ce 0.000 0.000 0.000
Ce2 Ce 0.207 0.207 0.207
Ce3 Ce 0.793 0.793 0.793
H1 H 0.165 0.764 0.764
H2 H 0.236 0.236 0.835
H3 H 0.236 0.835 0.236
H4 H 0.339 0.339 0.339
H5 H 0.661 0.661 0.661
H6 H 0.764 0.165 0.764
H7 H 0.764 0.764 0.165
H8 H 0.835 0.236 0.236
Ru1 Ru 0.424 0.424 0.424
Ru2 Ru 0.576 0.576 0.576
```

Most intense lines, 15 to 90 degrees two-theta, low angle first:
2θ/deg	I/Imax
27.25	15
30.37	100
36.18	78
47.94	29
49.91	14
55.19	18
61.51	27
65.07	14
68.67	11
84.76	11

---

(7)
This entry pairs a crystal structure of CeSnH6Ru with its theoretical powder diffraction line list. Radiation: λ = 1.5418 Å (Cu Kα). Structure: a crystal structure in Alexandria, relaxed with PBE.
Intensities are scaled so that the largest is 100.

Structure:
```
data_CeSnH6Ru
_symmetry_space_group_name_H-M 'P 1'
_symmetry_Int_Tables_number 1
_cell_length_a 4.773
_cell_length_b 4.773
_cell_length_c 4.641
_cell_angle_alpha 90.90
_cell_angle_beta 90.90
_cell_angle_gamma 57.85
loop_
_symmetry_equiv_pos_as_xyz
'x,y,z'
loop_
_atom_site_label
_atom_site_type_symbol
_atom_site_fract_x
_atom_site_fract_y
_atom_site_fract_z
Ce1 Ce 0.000 0.000 0.000
Sn1 Sn 0.333 0.333 0.601
H1 H 0.236 0.856 0.508
H2 H 0.515 0.998 0.205
H3 H 0.528 0.528 0.126
H4 H 0.718 0.718 0.772
H5 H 0.856 0.236 0.508
H6 H 0.998 0.515 0.205
Ru1 Ru 0.656 0.656 0.425
```

Most intense lines, 15 to 90 degrees two-theta, low angle first:
2θ/deg	I/Imax
28.49	51
29.18	17
29.43	100
37.72	60
38.81	12
39.02	27
44.88	19
48.09	14
49.02	24
63.58	12